No. 1
The following is a calculated powder diffraction line list of RbPa2Ag2O7. It was derived from a cell relaxed with GGA-PBE, using Cu Kα.
Neutral-atom scattering factors, no anomalous dispersion.

Top 10 peaks for 2θ from 10° to 90°, sorted by position:
2θ (°)	I_rel
20.4	41
21.0	60
24.3	61
29.6	100
30.0	93
33.7	60
40.4	42
41.7	38
44.9	31
52.0	43

Atomic structure:
```
data_RbPa2Ag2O7
_chemical_formula_sum 'Rb1 Pa2 Ag2 O7'
_space_group_name_H-M_alt 'P 1'
_space_group_IT_number 1
_cell_length_a 10.7313
_cell_length_b 10.7313
_cell_length_c 10.7313
_cell_angle_alpha 156.73
_cell_angle_beta 156.01
_cell_angle_gamma 33.67
loop_
_space_group_symop_operation_xyz
'x,y,z'
loop_
_atom_site_label
_atom_site_type_symbol
_atom_site_fract_x
_atom_site_fract_y
_atom_site_fract_z
_atom_site_occupancy
Rb1 Rb 0.0000 0.0000 0.0000 1
Pa1 Pa 0.3928 0.3928 0.0000 1
Pa2 Pa 0.6072 0.6072 0.0000 1
Ag1 Ag 0.2267 0.7267 0.5000 1
Ag2 Ag 0.7733 0.2733 0.5000 1
O1 O 0.1071 0.6071 0.5000 1
O2 O 0.2830 0.2830 0.0000 1
O3 O 0.3970 0.8970 0.5000 1
O4 O 0.5000 0.5000 0.0000 1
O5 O 0.6030 0.1030 0.5000 1
O6 O 0.7170 0.7170 0.0000 1
O7 O 0.8929 0.3929 0.5000 1
```


No. 2
The following is a calculated powder diffraction line list of CeZn6Pd6. It was derived from a cell relaxed with GGA-PBE, using Cu Kα.
Neutral-atom scattering factors, no anomalous dispersion.

Top 10 peaks for 2θ from 10° to 90°, sorted by position:
2θ (°)	I_rel
34.1	30
34.9	73
39.9	64
40.6	100
40.8	50
45.1	50
45.8	27
65.5	24
73.6	32
74.1	28

Atomic structure:
```
data_CeZn6Pd6
_chemical_formula_sum 'Ce1 Zn6 Pd6'
_space_group_name_H-M_alt 'P 1'
_space_group_IT_number 1
_cell_length_a 6.7877
_cell_length_b 6.7877
_cell_length_c 6.7877
_cell_angle_alpha 134.45
_cell_angle_beta 98.67
_cell_angle_gamma 98.57
loop_
_space_group_symop_operation_xyz
'x,y,z'
loop_
_atom_site_label
_atom_site_type_symbol
_atom_site_fract_x
_atom_site_fract_y
_atom_site_fract_z
_atom_site_occupancy
Ce1 Ce 0.0000 0.0000 0.0000 1
Zn1 Zn 0.0000 0.0000 0.5000 1
Zn2 Zn 0.0000 0.5000 0.0000 1
Zn3 Zn 0.2414 0.5000 0.7414 1
Zn4 Zn 0.5000 0.0000 0.0000 1
Zn5 Zn 0.5000 0.5000 0.5000 1
Zn6 Zn 0.7586 0.5000 0.2586 1
Pd1 Pd 0.1855 0.6855 0.5000 1
Pd2 Pd 0.3391 0.3391 0.0000 1
Pd3 Pd 0.3424 0.0000 0.3424 1
Pd4 Pd 0.6576 0.0000 0.6576 1
Pd5 Pd 0.6609 0.6609 0.0000 1
Pd6 Pd 0.8145 0.3145 0.5000 1
```


No. 3
The following is a calculated powder diffraction line list of La4Sb2Te. It was derived from a cell relaxed with GGA-PBE, using Cu Kα.
Neutral-atom scattering factors, no anomalous dispersion.

Top 10 peaks for 2θ from 10° to 90°, sorted by position:
2θ (°)	I_rel
29.2	100
29.2	50
34.7	99
43.9	14
46.0	25
48.0	22
58.7	13
58.9	26
62.1	14
71.8	14

Atomic structure:
```
data_La4Sb2Te
_chemical_formula_sum 'La8 Sb4 Te2'
_space_group_name_H-M_alt 'P 1'
_space_group_IT_number 1
_cell_length_a 8.3790
_cell_length_b 8.3790
_cell_length_c 8.3790
_cell_angle_alpha 109.58
_cell_angle_beta 109.58
_cell_angle_gamma 109.25
loop_
_space_group_symop_operation_xyz
'x,y,z'
loop_
_atom_site_label
_atom_site_type_symbol
_atom_site_fract_x
_atom_site_fract_y
_atom_site_fract_z
_atom_site_occupancy
La1 La 0.1267 0.2330 0.7481 1
La2 La 0.1286 0.7348 0.7519 1
La3 La 0.2652 0.0170 0.3937 1
La4 La 0.4848 0.3786 0.2519 1
La5 La 0.6214 0.8733 0.1063 1
La6 La 0.6233 0.8714 0.6063 1
La7 La 0.7670 0.5152 0.8937 1
La8 La 0.9830 0.3767 0.2481 1
Sb1 Sb 0.2499 0.6250 0.1249 1
Sb2 Sb 0.3750 0.4999 0.6249 1
Sb3 Sb 0.5001 0.1250 0.8751 1
Sb4 Sb 0.8750 0.7501 0.3751 1
Te1 Te 0.0000 0.0000 0.0000 1
Te2 Te 0.7500 0.2500 0.5000 1
```


No. 4
The following is a calculated powder diffraction line list of Tb3Nd4. It was derived from a cell relaxed with GGA-PBE, using Cu Kα.
Neutral-atom scattering factors, no anomalous dispersion.

Top 10 peaks for 2θ from 10° to 90°, sorted by position:
2θ (°)	I_rel
30.2	100
35.0	51
50.3	36
59.8	43
62.7	12
73.8	4
74.0	2
81.8	18
84.4	11
84.5	5

Atomic structure:
```
data_Tb3Nd4
_chemical_formula_sum 'Tb6 Nd8'
_space_group_name_H-M_alt 'P 1'
_space_group_IT_number 1
_cell_length_a 3.6309
_cell_length_b 5.1262
_cell_length_c 25.4235
_cell_angle_alpha 90.00
_cell_angle_beta 90.00
_cell_angle_gamma 90.00
loop_
_space_group_symop_operation_xyz
'x,y,z'
loop_
_atom_site_label
_atom_site_type_symbol
_atom_site_fract_x
_atom_site_fract_y
_atom_site_fract_z
_atom_site_occupancy
Tb1 Tb 0.0000 0.0000 0.0000 1
Tb2 Tb 0.0000 0.0000 0.1424 1
Tb3 Tb 0.0000 0.0000 0.8576 1
Tb4 Tb 0.5000 0.5000 0.3576 1
Tb5 Tb 0.5000 0.5000 0.5000 1
Tb6 Tb 0.5000 0.5000 0.6424 1
Nd1 Nd 0.0000 0.0000 0.2865 1
Nd2 Nd 0.0000 0.0000 0.4290 1
Nd3 Nd 0.0000 0.0000 0.5710 1
Nd4 Nd 0.0000 0.0000 0.7135 1
Nd5 Nd 0.5000 0.5000 0.0710 1
Nd6 Nd 0.5000 0.5000 0.2135 1
Nd7 Nd 0.5000 0.5000 0.7865 1
Nd8 Nd 0.5000 0.5000 0.9290 1
```


No. 5
The following is a calculated powder diffraction line list of NaPrTiO4. It was derived from a cell relaxed with GGA-PBE, using Cu Kα.
Neutral-atom scattering factors, no anomalous dispersion.

Top 10 peaks for 2θ from 10° to 90°, sorted by position:
2θ (°)	I_rel
14.1	65
24.4	66
31.8	100
33.3	64
36.3	27
43.2	38
44.3	36
47.8	37
58.6	36
66.4	30

Atomic structure:
```
data_NaPrTiO4
_chemical_formula_sum 'Na2 Pr2 Ti2 O8'
_space_group_name_H-M_alt 'P 1'
_space_group_IT_number 1
_cell_length_a 3.8055
_cell_length_b 3.8055
_cell_length_c 12.5547
_cell_angle_alpha 90.00
_cell_angle_beta 90.00
_cell_angle_gamma 90.00
loop_
_space_group_symop_operation_xyz
'x,y,z'
loop_
_atom_site_label
_atom_site_type_symbol
_atom_site_fract_x
_atom_site_fract_y
_atom_site_fract_z
_atom_site_occupancy
Na1 Na 0.0000 0.0000 0.0000 1
Na2 Na 0.5000 0.5000 0.5000 1
Pr1 Pr 0.0000 0.0000 0.7028 1
Pr2 Pr 0.5000 0.5000 0.2028 1
Ti1 Ti 0.0000 0.0000 0.3662 1
Ti2 Ti 0.5000 0.5000 0.8662 1
O1 O 0.0000 0.0000 0.1807 1
O2 O 0.0000 0.0000 0.5112 1
O3 O 0.0000 0.5000 0.3391 1
O4 O 0.0000 0.5000 0.8391 1
O5 O 0.5000 0.0000 0.3391 1
O6 O 0.5000 0.0000 0.8391 1
O7 O 0.5000 0.5000 0.0112 1
O8 O 0.5000 0.5000 0.6807 1
```


No. 6
The following is a calculated powder diffraction line list of TmRe2. It was derived from a cell relaxed with GGA-PBE, using Cu Kα.
Neutral-atom scattering factors, no anomalous dispersion.

Top 10 peaks for 2θ from 10° to 90°, sorted by position:
2θ (°)	I_rel
33.3	24
36.2	65
39.3	100
40.0	89
41.1	22
44.0	23
61.4	24
63.5	29
66.7	32
69.9	29

Atomic structure:
```
data_TmRe2
_chemical_formula_sum 'Tm4 Re8'
_space_group_name_H-M_alt 'P 1'
_space_group_IT_number 1
_cell_length_a 5.3824
_cell_length_b 5.3824
_cell_length_c 8.7819
_cell_angle_alpha 90.00
_cell_angle_beta 90.00
_cell_angle_gamma 120.00
loop_
_space_group_symop_operation_xyz
'x,y,z'
loop_
_atom_site_label
_atom_site_type_symbol
_atom_site_fract_x
_atom_site_fract_y
_atom_site_fract_z
_atom_site_occupancy
Tm1 Tm 0.3333 0.6667 0.0619 1
Tm2 Tm 0.3333 0.6667 0.4381 1
Tm3 Tm 0.6667 0.3333 0.5619 1
Tm4 Tm 0.6667 0.3333 0.9381 1
Re1 Re 0.0000 0.0000 0.0000 1
Re2 Re 0.0000 0.0000 0.5000 1
Re3 Re 0.1715 0.3429 0.7500 1
Re4 Re 0.1715 0.8285 0.7500 1
Re5 Re 0.3429 0.1715 0.2500 1
Re6 Re 0.6571 0.8285 0.7500 1
Re7 Re 0.8285 0.1715 0.2500 1
Re8 Re 0.8285 0.6571 0.2500 1
```